Simulated X-ray diffraction stick pattern of UTiS6 for Cu Kα, 1.54184 Å, from a DFT-relaxed cell (GGA-PBE, Alexandria).
Lines closer than 0.1° are merged.

Structural model:
Unit cell a=6.9246 b=6.9246 c=16.9434 alpha=90.00 beta=90.00 gamma=120.00
Space group R-3m (No. 166, hexagonal axes)
Asymmetric unit:
U 0.0000 0.0000 0.0000 [3 per cell]
Ti 0.0000 0.0000 0.5000 [3 per cell]
S 0.0089 0.5045 0.2478 [18 per cell]

Largest 10 diffraction maxima, by angle, 2θ from 15° to 90°:
5.652 Å, 15.7 deg, rel. 41, hkl 0 0 3
4.895 Å, 18.1 deg, rel. 100, hkl 0 1 2
3.461 Å, 25.7 deg, rel. 30, hkl 1 1 0
2.952 Å, 30.3 deg, rel. 31, hkl 0 1 5
2.447 Å, 36.7 deg, rel. 32, hkl 0 2 4
2.246 Å, 40.2 deg, rel. 17, hkl 2 1 1
2.189 Å, 41.2 deg, rel. 47, hkl 1 2 2
1.998 Å, 45.4 deg, rel. 14, hkl 3 0 0
1.731 Å, 52.9 deg, rel. 21, hkl 2 2 0
1.632 Å, 56.4 deg, rel. 23, hkl 0 3 6